YAl2P: theoretical powder diffractogram (Cu Kα, 1.54184 Å), based on a crystal structure in Alexandria, relaxed with GGA-PBE.

```
YAl2P
1.0
-1.9588 1.9588 5.0529
1.9588 -1.9588 5.0529
1.9588 1.9588 -5.0529
Y Al P
1 2 1
Cartesian
0.0000 0.0000 0.0000
1.9588 0.0000 2.5265
0.0000 1.9588 2.5265
0.0000 0.0000 5.0529
```

Most intense lines, 2θ from 10° to 90°, low angle first:
- 17.55 deg, I 25
- 24.37 deg, I 34
- 32.32 deg, I 11
- 35.13 deg, I 14
- 35.53 deg, I 28
- 37.01 deg, I 100
- 46.35 deg, I 26
- 59.74 deg, I 24
- 64.78 deg, I 18
- 79.69 deg, I 20

=====

Tm7HgS5: theoretical powder diffractogram (Cu Kα, 1.54184 Å), based on a crystal structure in Alexandria, relaxed with GGA-PBE.

```
Tm7HgS5
1.0
3.8661 0.0000 0.0000
0.0000 23.0793 0.0000
-1.9210 0.0000 6.3758
Tm Hg S
14 2 10
Cartesian
0.0009 5.7698 0.2641
0.0018 12.3603 1.7434
0.0018 22.2587 1.7434
0.0086 4.0102 4.1130
0.0086 7.5294 4.1130
0.0114 14.0659 5.1861
0.0114 20.5531 5.1861
1.9338 2.5262 1.1897
1.9338 9.0134 1.1897
1.9366 15.5499 2.2628
1.9366 19.0691 2.2628
1.9434 0.8207 4.6324
1.9434 10.7190 4.6324
1.9443 17.3095 6.1117
0.0049 17.3095 3.8070
1.9403 5.7698 2.5688
0.0012 14.7502 0.5633
0.0012 19.8688 0.5633
0.0062 1.6182 2.8997
0.0062 9.9215 2.8997
1.9331 0.0000 0.0000
1.9331 11.5397 0.0000
1.9389 13.1578 3.4761
1.9389 21.4612 3.4761
1.9439 3.2105 5.8125
1.9439 8.3291 5.8125
```

Most intense lines, 2θ from 10° to 90°, low angle first:
- 28.66 deg, I 43
- 29.06 deg, I 19
- 30.52 deg, I 98
- 30.98 deg, I 45
- 32.25 deg, I 100
- 33.43 deg, I 61
- 42.91 deg, I 22
- 47.01 deg, I 55
- 55.79 deg, I 22
- 57.09 deg, I 34

=====

KRbSb3: theoretical powder diffractogram (Cu Kα, 1.54184 Å), based on a crystal structure in Alexandria, relaxed with GGA-PBE.

```
KRbSb3
1.0
3.3828 1.9530 6.3963
-3.3828 1.9530 6.3963
0.0000 -3.9061 6.3963
K Rb Sb
1 1 3
Cartesian
0.0000 0.0000 0.0000
0.0000 0.0000 10.8500
-1.9403 -1.1202 7.8692
1.9403 -1.1202 7.8692
0.0000 2.2405 7.8692
```

Most intense lines, 2θ from 10° to 90°, low angle first:
- 13.84 deg, I 97
- 15.81 deg, I 100
- 23.97 deg, I 22
- 27.79 deg, I 43
- 27.90 deg, I 37
- 29.88 deg, I 36
- 30.88 deg, I 41
- 31.94 deg, I 93
- 35.92 deg, I 57
- 48.75 deg, I 27

=====

Li7PdPb4: theoretical powder diffractogram (Cu Kα, 1.54184 Å), based on a crystal structure in Alexandria, relaxed with GGA-PBE.

```
Li7PdPb4
1.0
7.2145 -2.4765 0.0000
7.2145 2.4765 0.0000
-4.7439 0.0000 6.9001
Li Pd Pb
7 1 4
Cartesian
0.0000 0.0000 0.0000
0.2991 0.0000 3.7244
-0.0519 0.0000 6.8490
3.3144 0.0000 4.4646
6.3707 0.0000 2.4354
9.7370 0.0000 0.0511
9.3860 0.0000 3.1756
7.2145 0.0000 0.0000
-2.3918 0.0000 5.1634
2.3299 0.0000 1.6575
7.3553 0.0000 5.2426
12.0770 0.0000 1.7367
```

Most intense lines, 2θ from 10° to 90°, low angle first:
- 19.41 deg, I 13
- 25.82 deg, I 100
- 28.83 deg, I 15
- 35.86 deg, I 12
- 36.28 deg, I 20
- 36.72 deg, I 22
- 36.97 deg, I 20
- 37.40 deg, I 16
- 53.10 deg, I 22
- 59.77 deg, I 12

=====

Tl6Au3I14: theoretical powder diffractogram (Cu Kα, 1.54184 Å), based on a crystal structure in Alexandria, relaxed with GGA-PBE.

```
Tl6Au3I14
1.0
12.4851 0.0000 0.0000
-6.2425 10.8124 0.0000
0.0000 0.0000 7.6842
Tl Au I
6 3 14
Cartesian
-2.7505 6.0007 0.0000
3.4233 0.7712 3.8105
2.4210 5.4301 0.0000
0.3294 10.1940 0.0000
5.1987 7.4621 3.8105
10.1056 2.5791 3.8105
0.0000 0.0000 0.7741
0.0000 7.2083 3.1755
6.2425 3.6041 2.7823
0.0000 0.0000 3.4647
-0.2787 4.6544 2.0162
2.2595 0.9026 7.0468
-2.0724 8.7265 2.0162
0.0000 7.2083 5.9497
4.4569 2.3612 0.9726
3.9297 4.3537 4.3673
2.3511 8.2439 2.0162
6.7498 1.2264 4.3673
6.0589 5.7720 0.9726
8.2117 2.6792 0.9726
5.8945 8.4043 7.0468
8.0481 5.2323 4.3673
10.5736 1.5055 7.0468
```

Most intense lines, 2θ from 10° to 90°, low angle first:
- 14.18 deg, I 38
- 20.08 deg, I 43
- 21.75 deg, I 23
- 24.66 deg, I 72
- 27.32 deg, I 50
- 28.54 deg, I 63
- 32.00 deg, I 100
- 38.03 deg, I 40
- 43.35 deg, I 34
- 43.48 deg, I 33

=====

Nd4Sm15Tm: theoretical powder diffractogram (Cu Kα, 1.54184 Å), based on a crystal structure in Alexandria, relaxed with GGA-PBE.

```
Nd4Sm15Tm
1.0
5.1389 0.0000 0.0000
0.0000 5.1389 0.0000
0.0000 0.0000 25.6682
Nd Sm Tm
4 15 1
Cartesian
0.0000 0.0000 2.5812
0.0000 0.0000 7.7385
0.0000 0.0000 17.9298
0.0000 0.0000 23.0870
0.0000 2.5694 0.0000
0.0000 2.5694 5.1611
0.0000 2.5694 10.3190
0.0000 2.5694 15.3492
0.0000 2.5694 20.5071
2.5694 0.0000 0.0000
2.5694 0.0000 5.1611
2.5694 0.0000 10.3190
2.5694 0.0000 15.3492
2.5694 0.0000 20.5071
2.5694 2.5694 2.5787
2.5694 2.5694 7.7478
2.5694 2.5694 12.8341
2.5694 2.5694 17.9204
2.5694 2.5694 23.0895
0.0000 0.0000 12.8341
```

Most intense lines, 2θ from 10° to 90°, low angle first:
- 30.13 deg, I 100
- 34.93 deg, I 51
- 50.23 deg, I 36
- 59.70 deg, I 43
- 62.64 deg, I 12
- 73.78 deg, I 6
- 81.71 deg, I 18
- 84.27 deg, I 6
- 84.33 deg, I 11

=====

NbAl5Ga: theoretical powder diffractogram (Cu Kα, 1.54184 Å), based on a crystal structure in Alexandria, relaxed with GGA-PBE.

```
NbAl5Ga
1.0
-3.4083 4.7609 2.6725
3.4083 -4.7609 2.6725
3.4083 4.7609 -2.6725
Nb Al Ga
1 5 1
Cartesian
0.0000 0.0000 0.0000
2.1838 0.0000 1.3554
4.6329 0.0000 1.3554
0.0000 2.5041 0.5093
0.0000 0.0000 2.6889
0.0000 7.0178 0.5093
0.0000 4.7609 1.6457
```

Most intense lines, 2θ from 10° to 90°, low angle first:
- 18.64 deg, I 100
- 19.04 deg, I 39
- 21.12 deg, I 51
- 26.15 deg, I 52
- 32.55 deg, I 49
- 37.36 deg, I 71
- 37.79 deg, I 38
- 42.43 deg, I 24
- 46.37 deg, I 42
- 46.53 deg, I 20

=====

La3Nd2Dy7: theoretical powder diffractogram (Cu Kα, 1.54184 Å), based on a crystal structure in Alexandria, relaxed with GGA-PBE.

```
La3Nd2Dy7
1.0
3.6324 0.0000 0.0000
0.0001 5.7989 0.0000
1.8067 1.0726 19.3564
La Nd Dy
3 2 7
Cartesian
0.0000 0.0000 0.0000
1.8165 1.9764 6.9457
3.6227 4.8951 12.4107
1.8060 2.0062 13.7950
3.6332 4.8652 5.5614
1.8055 4.9107 16.0628
1.8097 1.9884 10.4848
1.8171 4.8496 2.7156
1.8162 2.8994 0.0000
3.6221 2.0218 16.6409
3.6295 4.8830 8.8717
3.6337 1.9608 3.2936
```

Most intense lines, 2θ from 10° to 90°, low angle first:
- 27.65 deg, I 29
- 29.04 deg, I 27
- 29.65 deg, I 26
- 30.05 deg, I 57
- 30.95 deg, I 100
- 31.60 deg, I 56
- 32.89 deg, I 29
- 35.36 deg, I 42
- 53.94 deg, I 33
- 60.18 deg, I 30